This entry pairs a crystal structure of Mn5CoO12 with its theoretical XRD peak list. Radiation: Cu Kα, 1.54184 Å. Structure: DFT lattice parameters and positions (GGA+U).
Peak positions follow from Bragg's law for the DFT cell and can differ from measured ones.

Structure:
```
Mn5CoO12
1.0
2.516 -4.365 0.000
2.516 4.365 0.000
-0.001 0.000 9.624
Mn Co O
5 1 12
direct
0.000 0.000 0.000
0.167 0.833 0.500
0.333 0.667 0.000
0.667 0.333 0.000
0.833 0.167 0.500
0.500 0.500 0.500
0.000 0.333 0.100
0.000 0.667 0.900
0.172 0.172 0.402
0.172 0.500 0.599
0.333 0.000 0.100
0.333 0.333 0.900
0.500 0.172 0.599
0.500 0.828 0.401
0.667 0.000 0.900
0.667 0.667 0.100
0.828 0.500 0.401
0.828 0.828 0.598
```

Principal peaks in the range 10° ≤ 2θ ≤ 80°, sorted by position:
2theta  I_rel
18.44  100
35.68  6
36.88  29
40.44  22
45.80  30
52.63  12
60.53  15
64.89  14